This entry pairs a crystal structure of Cs3TbI6 with its theoretical X-ray powder pattern. Radiation: λ = 1.5418 Å (Cu Kα). Structure: DFT lattice parameters and positions (GGA-PBE).

Crystal structure
```
Cs3TbI6
1.0
9.032 0.000 0.000
0.000 9.634 0.000
-8.688 0.000 12.844
Cs Tb I
6 2 12
Cartesian
0.000 0.000 0.000 Cs
-4.344 4.817 6.422 Cs
-4.545 0.744 9.551 Cs
-0.201 4.072 3.129 Cs
0.545 5.561 9.715 Cs
4.889 8.889 3.293 Cs
0.172 0.000 6.422 Tb
4.516 4.817 0.000 Tb
-2.316 1.662 5.777 I
-6.660 3.154 12.199 I
-1.293 7.086 5.507 I
-5.637 7.364 11.929 I
1.207 0.467 3.587 I
-3.137 4.349 10.009 I
3.480 5.284 2.835 I
-0.864 9.166 9.257 I
5.980 2.269 0.915 I
1.636 2.548 7.337 I
7.003 6.479 0.645 I
2.660 7.971 7.067 I
```

Main lines, in order of rising 2θ (2θ = 10–90°):
| d (Å) | intensity | hkl |
| --- | --- | --- |
| 3.862 | 84 | 2 1 -3 |
| 3.561 | 85 | 1 1 -4 |
| 3.294 | 93 | 2 2 -2 |
| 3.208 | 91 | 0 0 4 |
| 2.952 | 100 | 1 3 0 |
| 2.648 | 75 | 3 1 -1 |